Simulated powder X-ray diffraction pattern
Compound: MgMn2P2O10
Radiation: Cu Kα
Structure: a structure optimized by DFT (PBE+U)

```
30
Lattice="0.000 5.588 8.224 3.584 0.000 8.224 3.584 5.588 0.000" Properties=species:S:1:pos:R:3 pbc="T T T"
Mg 0.896 1.397 2.056
Mg 6.271 9.778 14.392
Mn 3.584 2.794 4.112
Mn 1.792 5.588 4.112
Mn 1.792 2.794 8.224
Mn 3.584 5.588 8.224
P 2.688 4.191 1.331
P 4.480 6.984 5.443
P 2.688 4.191 11.005
P 4.480 6.984 15.117
O 2.436 2.946 2.231
O 2.104 1.544 4.487
O 3.271 1.544 7.849
O 5.063 4.338 8.599
O 2.940 5.436 2.231
O 4.732 5.739 6.343
O 2.688 4.191 4.860
O 3.271 6.837 4.487
O 2.688 4.191 7.476
O 2.940 2.946 10.105
O 4.228 8.229 6.343
O 4.480 6.984 8.972
O 3.896 4.338 11.961
O 4.480 6.984 11.588
O 2.436 5.436 10.105
O 4.228 5.739 14.217
O 2.104 6.837 7.849
O 3.896 9.631 8.599
O 5.063 9.631 11.961
O 4.732 8.229 14.217
```

Peak list (10 most intense, 2θ from 10° to 90°, in order of rising 2θ)
2θ (°)	Rel. int.
15.65	25
27.53	42
29.61	26
30.96	85
31.60	100
36.96	17
44.67	22
53.40	25
55.98	18
65.98	16